[1]
For K3MnCrO8, the GGA+U geometry in Alexandria gives the theoretical powder X-ray diffraction pattern in this record (copper Kα).
Kinematic intensities with the Lorentz-polarization factor, no thermal factor.

Most intense lines, 5 to 70 degrees two-theta, in order of rising 2θ:
h k l, 2theta, d/Å, I/Imax
1 0 1, 17.82, 4.977, 25
0 1 5, 27.01, 3.301, 100
1 1 0, 30.27, 2.953, 99
2 0 5, 41.01, 2.201, 47
1 0 10, 45.58, 1.990, 22
1 2 5, 51.81, 1.765, 21
2 2 0, 62.95, 1.477, 20
2 1 10, 64.70, 1.441, 18

Crystal structure
```
data_K3MnCrO8
_chemical_formula_sum 'K9 Mn3 Cr3 O24'
_space_group_name_H-M_alt 'R 3 m'
_space_group_IT_number 160
_space_group_name_Hall 'R 3 -2"'
_cell_length_a 5.9062
_cell_length_b 5.9062
_cell_length_c 21.6058
_cell_angle_alpha 90.00
_cell_angle_beta 90.00
_cell_angle_gamma 120.00
loop_
_atom_site_label
_atom_site_fract_x
_atom_site_fract_y
_atom_site_fract_z
_atom_site_occupancy
K1 0.0000 0.0000 0.0000 1
K2 0.0000 0.0000 0.1920 1
K3 0.0000 0.0000 0.7855 1
Mn1 0.0000 0.0000 0.5857 1
Cr1 0.0000 0.0000 0.4002 1
O1 0.0000 0.0000 0.3232 1
O2 0.0000 0.0000 0.6603 1
O3 0.0339 0.5169 0.2275 1
O4 0.1798 0.3595 0.0933 1
```

***

[2]
For K3CrMo2O8, the GGA+U geometry in Alexandria gives the theoretical powder X-ray diffraction pattern in this record (copper Kα).
Kinematic intensities with the Lorentz-polarization factor, no thermal factor.

Most intense lines, 5 to 70 degrees two-theta, in order of rising 2θ:
h k l, 2theta, d/Å, I/Imax
1 0 1, 20.59, 4.315, 69
0 1 2, 28.83, 3.097, 63
1 1 0, 29.71, 3.007, 100
0 1 3, 39.11, 2.303, 20
2 0 2, 41.88, 2.157, 42
1 2 2, 52.19, 1.753, 22
3 0 0, 52.73, 1.736, 18
2 2 0, 61.70, 1.503, 18

Crystal structure
```
data_K3CrMo2O8
_chemical_formula_sum 'K3 Cr1 Mo2 O8'
_space_group_name_H-M_alt 'P -3 m 1'
_space_group_IT_number 164
_space_group_name_Hall '-P 3 2"'
_cell_length_a 6.0132
_cell_length_b 6.0132
_cell_length_c 7.7050
_cell_angle_alpha 90.00
_cell_angle_beta 90.00
_cell_angle_gamma 120.00
loop_
_atom_site_label
_atom_site_fract_x
_atom_site_fract_y
_atom_site_fract_z
_atom_site_occupancy
K1 0.0000 0.0000 0.0000 1
K2 0.3333 0.6667 0.6605 1
Cr1 0.0000 0.0000 0.5000 1
Mo1 0.3333 0.6667 0.2256 1
O1 0.1704 0.3409 0.3136 1
O2 0.3333 0.6667 0.9939 1
```

***

Number 1 is which compound?
K3MnCrO8